1.
Simulated X-ray powder pattern
Compound: Dy4Sc
Radiation: Cu Kα X-rays
Structure: a PBE-relaxed structure

Main lines, sorted by position (5° ≤ 2θ ≤ 70°):
| two_theta | I/Imax | h k l |
| --- | --- | --- |
| 6.26 | 22 | 0 0 1 |
| 12.53 | 6 | 0 0 2 |
| 31.37 | 100 | 2 0 1 |
| 31.67 | 32 | 0 0 5 |
| 36.47 | 66 | 1 1 3 |
| 52.33 | 24 | 0 2 0 |
| 52.73 | 23 | 2 0 6 |
| 62.29 | 14 | 2 2 1 |
| 62.44 | 18 | 3 1 4 |
| 62.53 | 9 | 3 1 -6 |
| 62.83 | 12 | 1 1 8 |
| 65.46 | 12 | 4 0 2 |

Structural model:
```
data_Dy4Sc
_chemical_formula_sum 'Dy8 Sc2'
_symmetry_space_group_name_H-M 'C 1 2/m 1'
_symmetry_Int_Tables_number 12
_cell_length_a 6.0539
_cell_length_b 3.4979
_cell_length_c 14.2649
_cell_angle_alpha 90.00
_cell_angle_beta 98.02
_cell_angle_gamma 90.00
loop_
_symmetry_equiv_pos_as_xyz
'x,y,z'
'-x,-y,-z'
'-x,y,-z'
'x,-y,z'
'x+1/2,y+1/2,z'
'-x+1/2,-y+1/2,-z'
'-x+1/2,y+1/2,-z'
'x+1/2,-y+1/2,z'
loop_
_atom_site_label
_atom_site_fract_x
_atom_site_fract_y
_atom_site_fract_z
Dy1 0.1027 0.0000 0.3084
Dy2 0.2011 0.5000 0.1021
Sc1 0.0000 0.5000 0.5000
```


2.
Simulated X-ray powder pattern
Compound: Fe5Se
Radiation: Cu Kα X-rays
Structure: a PBE-relaxed structure

Main lines, sorted by position (5° ≤ 2θ ≤ 70°):
| two_theta | I/Imax | h k l |
| --- | --- | --- |
| 25.90 | 1 | 1 1 0 |
| 32.57 | 3 | 0 4 0 |
| 36.17 | 2 | 1 1 1 |
| 43.23 | 100 | 1 3 1 |
| 49.74 | 15 | 0 6 0 |
| 50.38 | 16 | 2 0 0 |
| 50.90 | 16 | 0 0 2 |
| 55.15 | 1 | 1 5 1 |
| 61.29 | 1 | 2 4 0 |
| 61.74 | 1 | 0 4 2 |

Structural model:
```
data_Fe5Se
_chemical_formula_sum 'Fe10 Se2'
_symmetry_space_group_name_H-M 'C m m m'
_symmetry_Int_Tables_number 65
_symmetry_space_group_name_Hall '-C 2 2'
_cell_length_a 3.6224
_cell_length_b 10.9974
_cell_length_c 3.5881
_cell_angle_alpha 90.00
_cell_angle_beta 90.00
_cell_angle_gamma 90.00
loop_
_atom_site_label
_atom_site_fract_x
_atom_site_fract_y
_atom_site_fract_z
Fe1 0.0000 0.0000 0.0000
Fe2 0.0000 0.1783 0.5000
Fe3 0.0000 0.3206 0.0000
Se1 0.0000 0.5000 0.5000
```